Entry 1:
Diffraction record for SrPSe3. The XRD peak list is computed, not measured: it uses the PBE geometry in the Materials Project and CuKα.
No peak broadening, texture or thermal motion is included.

Structure:
Unit cell a=7.1302 b=7.9130 c=12.0217 alpha=90.00 beta=124.52 gamma=90.00
Sites, in units of the cell vectors:
Sr1 0.2161 0.1096 0.2511
Sr2 0.2161 0.3904 0.7511
Sr3 0.7839 0.6096 0.2489
Sr4 0.7839 0.8904 0.7489
P1 0.1219 0.6057 0.0636
P2 0.1219 0.8943 0.5636
P3 0.8781 0.1057 0.4364
P4 0.8781 0.3943 0.9364
Se1 0.1062 0.1979 0.9446
Se2 0.1062 0.3021 0.4446
Se3 0.2757 0.6995 0.9586
Se4 0.2757 0.8005 0.4586
Se5 0.3674 0.0014 0.7654
Se6 0.3674 0.4986 0.2654
Se7 0.6326 0.5014 0.7346
Se8 0.6326 0.9986 0.2346
Se9 0.7243 0.1995 0.5414
Se10 0.7243 0.3005 0.0414
Se11 0.8938 0.6979 0.5554
Se12 0.8938 0.8021 0.0554

Most intense lines, 2θ from 15° to 90°, low angle first:
Position (°2θ)	I/Imax
27.45	39
28.67	35
28.88	100
29.18	46
31.36	58
31.59	46
33.42	30
36.30	67


Entry 2:
Diffraction record for Er3AlNi8. The XRD peak list is computed, not measured: it uses the PBE geometry in the Materials Project and CuKα.
No peak broadening, texture or thermal motion is included.

Structure:
Unit cell a=5.0416 b=5.0416 c=15.9353 alpha=90.00 beta=90.00 gamma=120.00
Sites, in units of the cell vectors:
Er1 0.3333 0.6667 0.0441
Er2 0.3333 0.6667 0.2500
Er3 0.3333 0.6667 0.4559
Er4 0.6667 0.3333 0.5441
Er5 0.6667 0.3333 0.7500
Er6 0.6667 0.3333 0.9559
Al1 0.0000 0.0000 0.0000
Al2 0.0000 0.0000 0.5000
Ni1 0.0000 0.0000 0.2500
Ni2 0.0000 0.0000 0.7500
Ni3 0.1688 0.3376 0.6255
Ni4 0.1688 0.3376 0.8745
Ni5 0.1688 0.8312 0.6255
Ni6 0.1688 0.8312 0.8745
Ni7 0.3333 0.6667 0.7500
Ni8 0.3376 0.1688 0.1255
Ni9 0.3376 0.1688 0.3745
Ni10 0.6624 0.8312 0.6255
Ni11 0.6624 0.8312 0.8745
Ni12 0.6667 0.3333 0.2500
Ni13 0.8312 0.1688 0.1255
Ni14 0.8312 0.1688 0.3745
Ni15 0.8312 0.6624 0.1255
Ni16 0.8312 0.6624 0.3745

Most intense lines, 2θ from 15° to 90°, low angle first:
Position (°2θ)	I/Imax
34.85	98
35.62	62
41.76	48
42.43	100
44.89	47
63.48	34
68.66	23
75.42	26